Simulated PXRD pattern
Compound: CrCd4F10
Radiation: λ = 1.5418 Å (Cu Kα)
Structure: a crystal structure in Alexandria, relaxed with GGA+U
Neutral-atom scattering factors, no anomalous dispersion.

Structure:
Cell: 15.408 15.408 15.408 Å, 14.59 14.59 14.59°
Fractional positions:
Cr: 0.000 0.000 0.000
Cd: 0.201 0.201 0.201
Cd: 0.397 0.397 0.397
Cd: 0.603 0.603 0.603
Cd: 0.799 0.799 0.799
F: 0.045 0.045 0.045
F: 0.149 0.149 0.149
F: 0.253 0.253 0.253
F: 0.348 0.348 0.348
F: 0.449 0.449 0.449
F: 0.551 0.551 0.551
F: 0.652 0.652 0.652
F: 0.747 0.747 0.747
F: 0.851 0.851 0.851
F: 0.955 0.955 0.955

Peak list (6 most intense, 2θ = 10–90°, by angle)
| d (Å) | 2θ/deg | I (rel.) |
| --- | --- | --- |
| 3.177 | 28.09 | 100 |
| 3.048 | 29.30 | 29 |
| 2.722 | 32.90 | 24 |
| 1.956 | 46.43 | 45 |
| 1.895 | 48.01 | 38 |
| 1.646 | 55.85 | 26 |